Diffraction record for Cr2Fe3SbP6O24. The XRD peak list is calculated, not measured: it uses a structure optimized by DFT (PBE+U) and Cu Kα (λ = 1.5418 Å).
Peak positions follow from Bragg's law for the DFT cell and can differ from measured ones.

Atomic structure:
abc: 8.5803 8.5803 8.5803
angles: 60.66 60.66 60.66
Positions (direct):
Cr 0.0000 0.0000 0.0000
Cr 0.4941 0.4941 0.4941
Fe 0.1420 0.1420 0.1420
Fe 0.3518 0.3518 0.3518
Fe 0.8537 0.8537 0.8537
Sb 0.6421 0.6421 0.6421
P 0.0450 0.4491 0.7517
P 0.2439 0.9582 0.5475
P 0.4491 0.7517 0.0450
P 0.5475 0.2439 0.9582
P 0.7517 0.0450 0.4491
P 0.9582 0.5475 0.2439
O 0.0542 0.2515 0.9053
O 0.0912 0.9363 0.7511
O 0.1081 0.5069 0.3170
O 0.1833 0.9836 0.3978
O 0.2374 0.4389 0.5880
O 0.2515 0.9053 0.0542
O 0.3170 0.1081 0.5069
O 0.3978 0.1833 0.9836
O 0.4097 0.7526 0.5669
O 0.4389 0.5880 0.2374
O 0.4886 0.6810 0.8872
O 0.5069 0.3170 0.1081
O 0.5669 0.4097 0.7526
O 0.5880 0.2374 0.4389
O 0.6073 0.8182 0.9953
O 0.6810 0.8872 0.4886
O 0.7511 0.0912 0.9363
O 0.7526 0.5669 0.4097
O 0.8182 0.9953 0.6073
O 0.8872 0.4886 0.6810
O 0.9053 0.0542 0.2515
O 0.9363 0.7511 0.0912
O 0.9836 0.3978 0.1833
O 0.9953 0.6073 0.8182

Main lines, by intensity (2θ = 5–70°):
2theta	I (rel.)
20.5	100
24.2	91
33.0	73
35.9	44
56.2	30
47.3	29
49.5	28
20.7	24
62.7	22
29.3	16


Diffraction record for Cr2Fe3SnP6O24. The XRD peak list is calculated, not measured: it uses a structure optimized by DFT (PBE+U) and Cu Kα (λ = 1.5418 Å).
Peak positions follow from Bragg's law for the DFT cell and can differ from measured ones.

Atomic structure:
abc: 8.5798 8.5798 8.5798
angles: 60.71 60.71 60.71
Positions (direct):
Cr 0.0000 0.0000 0.0000
Cr 0.4960 0.4960 0.4960
Fe 0.1434 0.1434 0.1434
Fe 0.3502 0.3502 0.3502
Fe 0.6422 0.6422 0.6422
Sn 0.8517 0.8517 0.8517
P 0.0460 0.4466 0.7441
P 0.2510 0.9498 0.5388
P 0.4466 0.7441 0.0460
P 0.5388 0.2510 0.9498
P 0.7441 0.0460 0.4466
P 0.9498 0.5388 0.2510
O 0.0127 0.6002 0.8121
O 0.0596 0.2510 0.9062
O 0.0894 0.9365 0.7410
O 0.1045 0.5007 0.3163
O 0.1781 0.9913 0.3880
O 0.2434 0.4321 0.5861
O 0.2510 0.9062 0.0596
O 0.3163 0.1045 0.5007
O 0.3880 0.1781 0.9913
O 0.4070 0.7507 0.5566
O 0.4321 0.5861 0.2434
O 0.4937 0.6799 0.8868
O 0.5007 0.3163 0.1045
O 0.5566 0.4070 0.7507
O 0.5861 0.2434 0.4321
O 0.6002 0.8121 0.0127
O 0.6799 0.8868 0.4937
O 0.7410 0.0894 0.9365
O 0.7507 0.5566 0.4070
O 0.8121 0.0127 0.6002
O 0.8868 0.4937 0.6799
O 0.9062 0.0596 0.2510
O 0.9365 0.7410 0.0894
O 0.9913 0.3880 0.1781

Main lines, by intensity (2θ = 5–70°):
2theta	I (rel.)
20.5	100
24.2	92
33.0	78
35.9	45
49.5	31
56.1	31
47.3	28
62.6	24
20.7	24
29.3	15